1.
Diffraction record for MgBe. The powder X-ray diffraction pattern is theoretical, not measured: it uses a DFT-relaxed cell (PBE, Alexandria) and CuKα.
Neutral-atom scattering factors, no anomalous dispersion.

Crystal structure
a b c (Å): 2.9966 4.0047 5.1744
angles (deg): 90.00 106.03 90.00
Space group P2_1/m (No. 11)
Unique sites:
Mg  0.1542  0.2500  0.3174
Be  0.4452  0.2500  0.8882

Largest 10 diffraction maxima, sorted by position, 2θ = 15–90°:
index  2theta  intensity
0 1 1  28.62  100
0 0 2  36.12  18
1 1 0  38.50  64
1 1 -1  38.71  68
1 0 1  40.29  42
1 0 -2  40.88  40
0 1 2  42.81  55
0 2 0  45.29  37
1 2 1  62.20  22
1 2 -2  62.63  21

***

2.
Diffraction record for TmPuPSe. The powder X-ray diffraction pattern is theoretical, not measured: it uses a DFT-relaxed cell (PBE, Alexandria) and CuKα.
Neutral-atom scattering factors, no anomalous dispersion.

Crystal structure
a b c (Å): 4.0280 4.0280 19.8529
angles (deg): 90.00 90.00 120.00
Space group R3m (No. 160, hexagonal axes)
Unique sites:
Tm  0.0000  0.0000  0.0000
Pu  0.0000  0.0000  0.5112
P  0.0000  0.0000  0.2574
Se  0.0000  0.0000  0.7534

Largest 10 diffraction maxima, sorted by position, 2θ = 15–90°:
index  2theta  intensity
0 0 6  26.95  15
0 1 2  27.09  46
1 0 4  31.34  100
0 1 8  44.82  36
1 1 0  45.01  38
2 0 2  53.27  22
0 2 4  55.87  20
1 1 12  74.18  15
2 1 4  74.45  17
1 2 8  82.92  12

***

3.
Diffraction record for Ca3Au11. The powder X-ray diffraction pattern is theoretical, not measured: it uses a DFT-relaxed cell (PBE, Alexandria) and CuKα.
Neutral-atom scattering factors, no anomalous dispersion.

Crystal structure
a b c (Å): 4.6748 9.9205 13.1164
angles (deg): 90.00 90.00 90.00
Space group Immm (No. 71)
Unique sites:
Ca  0.0000  0.0000  0.0000
Ca  0.0000  0.0000  0.2973
Au  0.0000  0.1708  0.5000
Au  0.0000  0.2714  0.1242
Au  0.0000  0.3641  0.3338
Au  0.0000  0.5000  0.0000

Largest 10 diffraction maxima, sorted by position, 2θ = 15–90°:
index  2theta  intensity
0 2 0  17.88  70
0 1 3  22.22  78
1 2 3  33.37  99
1 3 2  35.97  81
2 0 0  38.52  100
1 0 5  39.39  51
1 4 1  41.80  93
1 3 4  43.42  74
1 2 5  43.57  51
0 5 1  46.32  47

***

4.
Diffraction record for Cs2TiHgCl6. The powder X-ray diffraction pattern is theoretical, not measured: it uses a DFT-relaxed cell (PBE, Alexandria) and CuKα.
Neutral-atom scattering factors, no anomalous dispersion.

Crystal structure
a b c (Å): 7.3438 7.3438 55.7682
angles (deg): 90.00 90.00 120.00
Space group R-3m (No. 166, hexagonal axes)
Unique sites:
Cs  0.0000  0.0000  0.1407
Cs  0.0000  0.0000  0.3076
Ti  0.0000  0.0000  0.0000
Ti  0.0000  0.0000  0.5000
Hg  0.0000  0.0000  0.4149
Cl  0.0294  0.5147  0.1422
Cl  0.0295  0.5147  0.6912

Largest 10 diffraction maxima, sorted by position, 2θ = 15–90°:
index  2theta  intensity
1 0 7  17.85  100
0 1 11  22.43  71
1 1 0  24.24  91
0 0 18  28.81  57
0 2 7  30.26  77
2 0 11  33.26  72
1 1 18  38.00  43
1 2 11  41.58  24
2 2 0  49.66  32
2 2 18  58.43  29